The following is a computed powder diffractogram of CsPaO3. It was derived from a crystal structure in the Materials Project, relaxed with PBE, using Cu Kα (weighted mean of Kα1 and Kα2).
Intensities are scaled so that the largest is 100.

Structural model:
Lattice parameters (Å, degrees): 4.457 4.457 4.457 90.00 90.00 90.00
Space group Pm-3m (No. 221)
Asymmetric unit:
Cs 0.000 0.000 0.000 [1 per cell]
Pa 0.500 0.500 0.500 [1 per cell]
O 0.000 0.500 0.500 [3 per cell]

The 6 most intense peaks (2θ = 10–90°), low angle first:
| h k l | 2θ (°) | d (Å) | intensity |
| --- | --- | --- | --- |
| 1 1 0 | 28.3 | 3.151 | 100 |
| 2 0 0 | 40.5 | 2.228 | 28 |
| 2 1 1 | 50.1 | 1.819 | 43 |
| 2 2 0 | 58.6 | 1.576 | 18 |
| 3 1 0 | 66.3 | 1.409 | 19 |
| 3 2 1 | 80.7 | 1.191 | 23 |